Entry 1:
This entry pairs a crystal structure of ScNi3Te with its simulated X-ray diffraction stick pattern. Radiation: Cu Kα (weighted mean of Kα1 and Kα2). Structure: DFT lattice parameters and positions (PBE).
Peak positions follow from Bragg's law for the DFT cell and can differ from measured ones.

Crystal structure
a b c (Å): 4.5923 4.5923 4.5923
angles (deg): 90.00 90.00 90.00
Fractional positions:
Sc 0.0000 0.0000 0.0000
Ni 0.0000 0.5000 0.5000
Ni 0.5000 0.0000 0.5000
Ni 0.5000 0.5000 0.0000
Te 0.5000 0.5000 0.5000

Main lines, in order of falling intensity (5 to 70 degrees two-theta):
(hkl)	two_theta	I/Imax
2 0 0	39.2	1000
1 0 0	19.3	958
2 2 0	56.7	646
2 1 0	44.1	455
1 1 0	27.5	424
3 0 0	60.5	220
1 1 1	33.8	211
2 1 1	48.6	172
3 1 0	64.1	74
3 1 1	67.7	64

***

Entry 2:
This entry pairs a crystal structure of Th2Sc7 with its simulated X-ray diffraction stick pattern. Radiation: Cu Kα (weighted mean of Kα1 and Kα2). Structure: DFT lattice parameters and positions (PBE).
Peak positions follow from Bragg's law for the DFT cell and can differ from measured ones.

Crystal structure
a b c (Å): 5.8101 5.8101 8.0350
angles (deg): 90.00 90.00 120.00
Fractional positions:
Th 0.3333 0.6667 0.0000
Th 0.6667 0.3333 0.0000
Sc 0.0000 0.0000 0.0000
Sc 0.0000 0.3325 0.6638
Sc 0.0000 0.6675 0.3362
Sc 0.3325 0.0000 0.6638
Sc 0.3325 0.3325 0.3362
Sc 0.6675 0.0000 0.3362
Sc 0.6675 0.6675 0.6638

Main lines, in order of falling intensity (5 to 70 degrees two-theta):
(hkl)	two_theta	I/Imax
1 1 1	32.8	1000
0 0 1	11.0	679
2 -1 2	38.2	648
1 0 1	20.8	266
0 0 3	33.5	258
1 1 4	55.6	221
3 0 3	65.7	209
1 1 0	30.8	208
1 0 0	17.6	190
3 0 0	54.7	184

***

Entry 3:
This entry pairs a crystal structure of Tb2GePb with its simulated X-ray diffraction stick pattern. Radiation: Cu Kα (weighted mean of Kα1 and Kα2). Structure: DFT lattice parameters and positions (PBE).
Peak positions follow from Bragg's law for the DFT cell and can differ from measured ones.

Crystal structure
a b c (Å): 4.6323 23.4024 4.0198
angles (deg): 90.00 90.00 90.00
Fractional positions:
Tb 0.0000 0.0607 0.2500
Tb 0.0000 0.3288 0.2500
Tb 0.0000 0.6712 0.7500
Tb 0.0000 0.9393 0.7500
Tb 0.5000 0.1712 0.7500
Tb 0.5000 0.4393 0.7500
Tb 0.5000 0.5607 0.2500
Tb 0.5000 0.8288 0.2500
Ge 0.0000 0.4617 0.2500
Ge 0.0000 0.5383 0.7500
Ge 0.5000 0.0383 0.7500
Ge 0.5000 0.9617 0.2500
Pb 0.0000 0.1931 0.2500
Pb 0.0000 0.8069 0.7500
Pb 0.5000 0.3069 0.7500
Pb 0.5000 0.6931 0.2500

Main lines, in order of falling intensity (5 to 70 degrees two-theta):
(hkl)	two_theta	I/Imax
1 1 1	29.7	1000
1 7 1	40.1	573
0 8 0	30.6	332
2 0 0	38.9	261
1 7 0	33.0	211
0 8 2	55.5	181
0 0 2	45.1	172
2 8 0	50.2	169
2 0 2	61.0	141
2 8 2	69.8	128